Diffraction record for Li2VP5O15. The X-ray diffraction stick pattern is computed, not measured: it uses DFT lattice parameters and positions (PBE+U) and λ = 1.5418 Å (Cu Kα).

Top 12 peaks for 5° ≤ 2θ ≤ 70°, sorted by position:
d [Å]	2θ/deg	I (rel.)	(hkl)
8.655	10.2	49.7	0 0 1
7.280	12.2	37.6	0 1 1
6.731	13.2	24.3	0 2 0
5.313	16.7	42.3	0 2 1
4.825	18.4	100.0	1 0 -1
4.327	20.5	68.5	0 0 2
4.050	21.9	24.0	1 2 0
3.984	22.3	44.0	0 3 1
3.922	22.7	34.3	1 2 -1
3.458	25.8	64.6	1 2 1
2.885	31.0	23.9	0 0 3
2.804	31.9	30.6	1 4 0

Structure:
Unit cell a=5.179 b=13.462 c=8.841 alpha=90.00 beta=101.77 gamma=90.00
Sites, in units of the cell vectors:
Li 0.061 0.116 0.098
Li 0.061 0.384 0.098
Li 0.939 0.616 0.902
Li 0.939 0.884 0.902
V 0.500 0.000 0.500
V 0.500 0.500 0.500
P 0.000 0.141 0.516
P 0.000 0.359 0.516
P 0.000 0.641 0.484
P 0.000 0.859 0.484
P 0.341 0.077 0.816
P 0.341 0.423 0.816
P 0.456 0.750 0.986
P 0.544 0.250 0.014
P 0.659 0.577 0.184
P 0.659 0.923 0.184
O 0.052 0.250 0.459
O 0.140 0.145 0.694
O 0.140 0.355 0.694
O 0.144 0.073 0.425
O 0.144 0.427 0.425
O 0.192 0.032 0.926
O 0.192 0.468 0.926
O 0.193 0.750 0.878
O 0.287 0.250 0.067
O 0.293 0.627 0.496
O 0.293 0.873 0.496
O 0.446 0.657 0.104
O 0.446 0.843 0.104
O 0.490 0.010 0.725
O 0.490 0.490 0.725
O 0.510 0.510 0.275
O 0.510 0.990 0.275
O 0.554 0.157 0.896
O 0.554 0.343 0.896
O 0.707 0.127 0.504
O 0.707 0.373 0.504
O 0.713 0.750 0.933
O 0.807 0.250 0.122
O 0.808 0.532 0.074
O 0.808 0.968 0.074
O 0.856 0.573 0.575
O 0.856 0.927 0.575
O 0.860 0.645 0.306
O 0.860 0.855 0.306
O 0.948 0.750 0.541